[1]
Theoretical XRD peak list of TlGa2I8 for Cu Kα (weighted mean of Kα1 and Kα2), from a DFT-relaxed cell (GGA-PBE, Alexandria).
Lines closer than 0.1° are merged.

Structural model:
Cell: 14.188 10.857 7.283 Å, 90.00 99.06 90.00°
Space group C2/m (No. 12)
Inequivalent atoms, fractional coordinates:
Tl1 0.000 0.000 0.000 (multiplicity 2)
Ga1 0.204 0.000 0.666 (multiplicity 4)
I1 0.114 0.193 0.764 (multiplicity 8)
I2 0.120 0.500 0.197 (multiplicity 4)
I3 0.199 0.000 0.305 (multiplicity 4)

Principal peaks in the range 10° ≤ 2θ ≤ 90°, by angle:
- 2θ = 10.3°, d = 8.582 Å, intensity 42, hkl 1 1 0
- 2θ = 16.3°, d = 5.428 Å, intensity 24, hkl 0 2 0
- 2θ = 19.0°, d = 4.664 Å, intensity 21, hkl 2 0 1
- 2θ = 23.1°, d = 3.852 Å, intensity 100, hkl 2 2 -1
- 2θ = 24.8°, d = 3.596 Å, intensity 24, hkl 0 0 2
- 2θ = 25.7°, d = 3.470 Å, intensity 42, hkl 3 1 1
- 2θ = 30.9°, d = 2.897 Å, intensity 20, hkl 2 2 -2
- 2θ = 33.0°, d = 2.714 Å, intensity 33, hkl 0 4 0
- 2θ = 40.7°, d = 2.216 Å, intensity 31, hkl 5 3 0
- 2θ = 42.2°, d = 2.144 Å, intensity 19, hkl 4 0 -3

=====

[2]
Theoretical XRD peak list of Tl2Ga2I5 for Cu Kα (weighted mean of Kα1 and Kα2), from a DFT-relaxed cell (GGA-PBE, Alexandria).
Lines closer than 0.1° are merged.

Structural model:
Cell: 19.306 5.749 7.291 Å, 90.00 101.12 90.00°
Space group C2/m (No. 12)
Inequivalent atoms, fractional coordinates:
Tl1 0.055 0.000 0.312 (multiplicity 4)
Ga1 0.155 0.500 0.939 (multiplicity 4)
I1 0.000 0.500 0.000 (multiplicity 2)
I2 0.130 0.500 0.545 (multiplicity 4)
I3 0.168 0.000 0.013 (multiplicity 4)

Principal peaks in the range 10° ≤ 2θ ≤ 90°, by angle:
- 2θ = 20.4°, d = 4.355 Å, intensity 30, hkl 4 0 -1
- 2θ = 20.9°, d = 4.248 Å, intensity 24, hkl 1 1 1
- 2θ = 25.7°, d = 3.462 Å, intensity 100, hkl 3 1 1
- 2θ = 28.2°, d = 3.161 Å, intensity 25, hkl 4 0 -2
- 2θ = 28.6°, d = 3.119 Å, intensity 44, hkl 6 0 -1
- 2θ = 29.0°, d = 3.079 Å, intensity 30, hkl 1 1 -2
- 2θ = 30.5°, d = 2.929 Å, intensity 40, hkl 3 1 -2
- 2θ = 31.1°, d = 2.875 Å, intensity 55, hkl 0 2 0
- 2θ = 36.7°, d = 2.449 Å, intensity 22, hkl 7 1 0
- 2θ = 42.8°, d = 2.114 Å, intensity 30, hkl 6 2 -1

=====

[3]
Theoretical XRD peak list of Tl3Ga2I5 for Cu Kα (weighted mean of Kα1 and Kα2), from a DFT-relaxed cell (GGA-PBE, Alexandria).
Lines closer than 0.1° are merged.

Structural model:
Cell: 4.871 8.442 10.946 Å, 75.63 77.20 73.28°
Space group P-1 (No. 2)
Inequivalent atoms, fractional coordinates:
Tl1 0.000 0.000 0.000 (multiplicity 1)
Tl2 0.207 0.383 0.205 (multiplicity 2)
Ga1 0.402 0.791 0.405 (multiplicity 2)
I1 0.000 0.500 0.500 (multiplicity 1)
I2 0.195 0.928 0.683 (multiplicity 2)
I3 0.405 0.304 0.886 (multiplicity 2)

Principal peaks in the range 10° ≤ 2θ ≤ 90°, by angle:
- 2θ = 25.8°, d = 3.454 Å, intensity 100, hkl 0 1 3
- 2θ = 36.7°, d = 2.451 Å, intensity 37, hkl 1 0 4
- 2θ = 36.9°, d = 2.434 Å, intensity 39, hkl 2 1 1
- 2θ = 45.1°, d = 2.008 Å, intensity 7, hkl 0 2 -4
- 2θ = 45.6°, d = 1.990 Å, intensity 21, hkl 2 2 4
- 2θ = 53.0°, d = 1.727 Å, intensity 13, hkl 0 2 6
- 2θ = 59.7°, d = 1.549 Å, intensity 16, hkl 1 1 7
- 2θ = 60.1°, d = 1.540 Å, intensity 18, hkl 3 3 1
- 2θ = 66.3°, d = 1.409 Å, intensity 9, hkl 2 3 7
- 2θ = 66.5°, d = 1.407 Å, intensity 6, hkl -3 1 1

=====

[4]
Theoretical XRD peak list of TmGa2I8 for Cu Kα (weighted mean of Kα1 and Kα2), from a DFT-relaxed cell (GGA-PBE, Alexandria).
Lines closer than 0.1° are merged.

Structural model:
Cell: 13.730 11.532 7.200 Å, 90.00 100.65 90.00°
Space group C2/m (No. 12)
Inequivalent atoms, fractional coordinates:
Tm1 0.000 0.000 0.000 (multiplicity 2)
Ga1 0.200 0.000 0.671 (multiplicity 4)
I1 0.093 0.178 0.785 (multiplicity 8)
I2 0.116 0.500 0.160 (multiplicity 4)
I3 0.193 0.000 0.287 (multiplicity 4)

Principal peaks in the range 10° ≤ 2θ ≤ 90°, by angle:
- 2θ = 10.1°, d = 8.766 Å, intensity 76, hkl 1 1 0
- 2θ = 15.4°, d = 5.766 Å, intensity 45, hkl 0 2 0
- 2θ = 22.5°, d = 3.944 Å, intensity 100, hkl 2 2 -1
- 2θ = 25.2°, d = 3.539 Å, intensity 38, hkl 0 0 2
- 2θ = 26.5°, d = 3.361 Å, intensity 57, hkl 3 1 1
- 2θ = 30.5°, d = 2.930 Å, intensity 48, hkl 2 2 -2
- 2θ = 34.1°, d = 2.626 Å, intensity 28, hkl 5 1 0
- 2θ = 36.0°, d = 2.497 Å, intensity 33, hkl 3 1 2
- 2θ = 40.9°, d = 2.209 Å, intensity 53, hkl 5 3 0
- 2θ = 47.2°, d = 1.927 Å, intensity 26, hkl 3 5 1

=====

[5]
Theoretical XRD peak list of Tm4Ga2I5 for Cu Kα (weighted mean of Kα1 and Kα2), from a DFT-relaxed cell (GGA-PBE, Alexandria).
Lines closer than 0.1° are merged.

Structural model:
Cell: 4.092 8.449 27.407 Å, 90.00 90.00 90.00°
Space group Immm (No. 71)
Inequivalent atoms, fractional coordinates:
Tm1 0.000 0.000 0.142 (multiplicity 4)
Tm2 0.000 0.298 0.500 (multiplicity 4)
Ga1 0.000 0.000 0.045 (multiplicity 4)
I1 0.000 0.255 0.331 (multiplicity 8)
I2 0.000 0.500 0.000 (multiplicity 2)

Principal peaks in the range 10° ≤ 2θ ≤ 90°, by angle:
- 2θ = 11.0°, d = 8.074 Å, intensity 59, hkl 0 1 1
- 2θ = 19.4°, d = 4.568 Å, intensity 100, hkl 0 0 6
- 2θ = 27.2°, d = 3.279 Å, intensity 20, hkl 1 0 5
- 2θ = 27.5°, d = 3.244 Å, intensity 27, hkl 1 1 4
- 2θ = 30.6°, d = 2.923 Å, intensity 98, hkl 1 2 1
- 2θ = 34.6°, d = 2.590 Å, intensity 28, hkl 1 2 5
- 2θ = 38.3°, d = 2.351 Å, intensity 42, hkl 1 2 7
- 2θ = 41.1°, d = 2.199 Å, intensity 20, hkl 1 1 10
- 2θ = 42.5°, d = 2.128 Å, intensity 20, hkl 1 0 11
- 2θ = 48.8°, d = 1.867 Å, intensity 28, hkl 2 0 6

=====

[6]
Theoretical XRD peak list of V2GaI2 for Cu Kα (weighted mean of Kα1 and Kα2), from a DFT-relaxed cell (GGA-PBE, Alexandria).
Lines closer than 0.1° are merged.

Structural model:
Cell: 3.604 3.604 19.441 Å, 90.00 90.00 90.00°
Space group I4/mmm (No. 139)
Inequivalent atoms, fractional coordinates:
V1 0.000 0.500 0.250 (multiplicity 4)
Ga1 0.000 0.000 0.000 (multiplicity 2)
I1 0.000 0.000 0.358 (multiplicity 4)

Principal peaks in the range 10° ≤ 2θ ≤ 90°, by angle:
- 2θ = 28.3°, d = 3.149 Å, intensity 100, hkl 1 0 3
- 2θ = 33.9°, d = 2.643 Å, intensity 13, hkl 1 0 5
- 2θ = 35.2°, d = 2.548 Å, intensity 16, hkl 1 1 0
- 2θ = 37.0°, d = 2.430 Å, intensity 16, hkl 0 0 8
- 2θ = 39.9°, d = 2.257 Å, intensity 28, hkl 1 1 4
- 2θ = 41.0°, d = 2.200 Å, intensity 13, hkl 1 0 7
- 2θ = 45.3°, d = 2.003 Å, intensity 32, hkl 1 1 6
- 2θ = 50.7°, d = 1.802 Å, intensity 19, hkl 2 0 0
- 2θ = 58.1°, d = 1.587 Å, intensity 13, hkl 1 0 11
- 2θ = 59.1°, d = 1.564 Å, intensity 24, hkl 2 1 3

=====

[7]
Theoretical XRD peak list of ZnGaI4 for Cu Kα (weighted mean of Kα1 and Kα2), from a DFT-relaxed cell (GGA-PBE, Alexandria).
Lines closer than 0.1° are merged.

Structural model:
Cell: 6.501 6.501 12.154 Å, 90.00 90.00 90.00°
Space group I-4 (No. 82)
Inequivalent atoms, fractional coordinates:
Zn1 0.000 0.000 0.000 (multiplicity 2)
Ga1 0.000 0.500 0.250 (multiplicity 2)
I1 0.226 0.250 0.877 (multiplicity 8)

Principal peaks in the range 10° ≤ 2θ ≤ 90°, by angle:
- 2θ = 15.5°, d = 5.732 Å, intensity 13, hkl 1 0 1
- 2θ = 24.3°, d = 3.666 Å, intensity 100, hkl 1 1 2
- 2θ = 27.4°, d = 3.250 Å, intensity 16, hkl 2 0 0
- 2θ = 29.4°, d = 3.039 Å, intensity 7, hkl 0 0 4
- 2θ = 39.2°, d = 2.298 Å, intensity 20, hkl 2 2 0
- 2θ = 40.6°, d = 2.220 Å, intensity 38, hkl 2 0 4
- 2θ = 46.6°, d = 1.947 Å, intensity 31, hkl 3 1 2
- 2θ = 49.1°, d = 1.854 Å, intensity 14, hkl 1 1 6
- 2θ = 64.6°, d = 1.443 Å, intensity 12, hkl 3 1 6
- 2θ = 72.0°, d = 1.311 Å, intensity 12, hkl 4 2 4

=====

[8]
Theoretical XRD peak list of InGa12 for Cu Kα (weighted mean of Kα1 and Kα2), from a DFT-relaxed cell (GGA-PBE, Alexandria).
Lines closer than 0.1° are merged.

Structural model:
Cell: 7.197 7.197 7.197 Å, 90.00 90.00 90.00°
Space group Pm-3m (No. 221)
Inequivalent atoms, fractional coordinates:
In1 0.000 0.000 0.000 (multiplicity 1)
Ga1 0.000 0.250 0.500 (multiplicity 12)

Principal peaks in the range 10° ≤ 2θ ≤ 90°, by angle:
- 2θ = 12.3°, d = 7.197 Å, intensity 17, hkl 1 0 0
- 2θ = 17.4°, d = 5.089 Å, intensity 36, hkl 1 1 0
- 2θ = 24.7°, d = 3.598 Å, intensity 42, hkl 2 0 0
- 2θ = 30.4°, d = 2.938 Å, intensity 100, hkl 2 1 1
- 2θ = 43.6°, d = 2.078 Å, intensity 43, hkl 2 2 2
- 2θ = 47.3°, d = 1.923 Å, intensity 58, hkl 3 2 1
- 2θ = 50.7°, d = 1.799 Å, intensity 34, hkl 4 0 0
- 2θ = 57.2°, d = 1.609 Å, intensity 16, hkl 4 2 0
- 2θ = 74.6°, d = 1.272 Å, intensity 21, hkl 4 4 0
- 2θ = 82.7°, d = 1.167 Å, intensity 16, hkl 6 1 1

=====

[9]
Theoretical XRD peak list of In7Ga3 for Cu Kα (weighted mean of Kα1 and Kα2), from a DFT-relaxed cell (GGA-PBE, Alexandria).
Lines closer than 0.1° are merged.

Structural model:
Cell: 4.358 6.933 9.011 Å, 109.50 103.43 91.01°
Space group P-1 (No. 2)
Inequivalent atoms, fractional coordinates:
In1 0.000 0.000 0.000 (multiplicity 1)
In2 0.207 0.628 0.415 (multiplicity 2)
In3 0.399 0.194 0.795 (multiplicity 2)
In4 0.401 0.684 0.801 (multiplicity 2)
Ga1 0.000 0.500 0.000 (multiplicity 1)
Ga2 0.195 0.096 0.390 (multiplicity 2)

Principal peaks in the range 10° ≤ 2θ ≤ 90°, by angle:
- 2θ = 33.0°, d = 2.714 Å, intensity 100, hkl 1 -2 0
- 2θ = 33.6°, d = 2.670 Å, intensity 96, hkl 1 2 -1
- 2θ = 34.1°, d = 2.629 Å, intensity 94, hkl 1 0 2
- 2θ = 34.2°, d = 2.619 Å, intensity 92, hkl 1 0 -3
- 2θ = 34.7°, d = 2.583 Å, intensity 89, hkl 0 2 -3
- 2θ = 41.0°, d = 2.204 Å, intensity 52, hkl 0 2 2
- 2θ = 41.4°, d = 2.179 Å, intensity 55, hkl 2 0 -1
- 2θ = 53.6°, d = 1.711 Å, intensity 23, hkl 0 4 -1
- 2θ = 54.7°, d = 1.678 Å, intensity 24, hkl 2 -2 2
- 2θ = 70.9°, d = 1.330 Å, intensity 30, hkl 3 0 1

=====

[10]
Theoretical XRD peak list of In8Ga for Cu Kα (weighted mean of Kα1 and Kα2), from a DFT-relaxed cell (GGA-PBE, Alexandria).
Lines closer than 0.1° are merged.

Structural model:
Cell: 10.299 10.299 4.460 Å, 90.00 90.00 90.00°
Space group I4/mmm (No. 139)
Inequivalent atoms, fractional coordinates:
In1 0.000 0.331 0.000 (multiplicity 8)
In2 0.163 0.163 0.500 (multiplicity 8)
Ga1 0.000 0.000 0.000 (multiplicity 2)

Principal peaks in the range 10° ≤ 2θ ≤ 90°, by angle:
- 2θ = 32.9°, d = 2.721 Å, intensity 100, hkl 3 0 1
- 2θ = 37.0°, d = 2.428 Å, intensity 36, hkl 3 3 0
- 2θ = 40.4°, d = 2.230 Å, intensity 14, hkl 0 0 2
- 2θ = 53.4°, d = 1.717 Å, intensity 12, hkl 6 0 0
- 2θ = 56.0°, d = 1.642 Å, intensity 21, hkl 3 3 2
- 2θ = 64.2°, d = 1.452 Å, intensity 27, hkl 6 3 1
- 2θ = 68.8°, d = 1.364 Å, intensity 11, hkl 3 0 3
- 2θ = 69.0°, d = 1.360 Å, intensity 11, hkl 6 0 2
- 2θ = 78.9°, d = 1.214 Å, intensity 4, hkl 6 6 0
- 2θ = 88.1°, d = 1.108 Å, intensity 6, hkl 9 0 1

=====

[11]
Theoretical XRD peak list of In3Ga for Cu Kα (weighted mean of Kα1 and Kα2), from a DFT-relaxed cell (GGA-PBE, Alexandria).
Lines closer than 0.1° are merged.

Structural model:
Cell: 3.226 11.024 5.710 Å, 90.00 90.00 90.00°
Space group Imm2 (No. 44)
Inequivalent atoms, fractional coordinates:
In1 0.000 0.000 0.000 (multiplicity 2)
In2 0.000 0.234 0.617 (multiplicity 4)
Ga1 0.000 0.500 0.978 (multiplicity 2)

Principal peaks in the range 10° ≤ 2θ ≤ 90°, by angle:
- 2θ = 28.9°, d = 3.092 Å, intensity 10, hkl 0 3 1
- 2θ = 31.3°, d = 2.855 Å, intensity 22, hkl 0 0 2
- 2θ = 31.9°, d = 2.809 Å, intensity 13, hkl 1 0 1
- 2θ = 32.5°, d = 2.756 Å, intensity 36, hkl 0 4 0
- 2θ = 35.4°, d = 2.535 Å, intensity 31, hkl 0 2 2
- 2θ = 35.9°, d = 2.503 Å, intensity 100, hkl 1 2 1
- 2θ = 45.8°, d = 1.983 Å, intensity 13, hkl 0 4 2
- 2θ = 56.1°, d = 1.639 Å, intensity 13, hkl 1 0 3
- 2θ = 60.2°, d = 1.538 Å, intensity 18, hkl 1 6 1
- 2θ = 66.3°, d = 1.409 Å, intensity 15, hkl 1 4 3

=====

[12]
Theoretical XRD peak list of In7Ga4 for Cu Kα (weighted mean of Kα1 and Kα2), from a DFT-relaxed cell (GGA-PBE, Alexandria).
Lines closer than 0.1° are merged.

Structural model:
Cell: 8.4806 8.4806 4.4708 Å, 90.00 90.00 120.00°
Space group P-6m2 (No. 187)
Inequivalent atoms, fractional coordinates:
In1 0.0000 0.0000 0.0000 (multiplicity 1)
In2 0.0578 0.5289 0.0000 (multiplicity 3)
In3 0.3727 0.1863 0.5000 (multiplicity 3)
Ga1 0.2131 0.4263 0.5000 (multiplicity 3)
Ga2 0.6667 0.3333 0.0000 (multiplicity 1)

Principal peaks in the range 10° ≤ 2θ ≤ 90°, by angle:
- 2θ = 29.0°, d = 3.077 Å, intensity 14, hkl 1 1 1
- 2θ = 31.5°, d = 2.838 Å, intensity 100, hkl 2 0 1
- 2θ = 32.2°, d = 2.776 Å, intensity 29, hkl 2 1 0
- 2θ = 38.2°, d = 2.358 Å, intensity 29, hkl 2 1 1
- 2θ = 40.3°, d = 2.235 Å, intensity 23, hkl 0 0 2
- 2θ = 42.1°, d = 2.147 Å, intensity 14, hkl 3 0 1
- 2θ = 42.6°, d = 2.120 Å, intensity 27, hkl 2 2 0
- 2θ = 52.6°, d = 1.741 Å, intensity 14, hkl 2 1 2
- 2θ = 60.2°, d = 1.538 Å, intensity 19, hkl 2 2 2
- 2θ = 67.1°, d = 1.395 Å, intensity 10, hkl 5 0 1

=====

[13]
Theoretical XRD peak list of In3Ga4 for Cu Kα (weighted mean of Kα1 and Kα2), from a DFT-relaxed cell (GGA-PBE, Alexandria).
Lines closer than 0.1° are merged.

Structural model:
Cell: 3.282 3.282 29.070 Å, 90.00 90.00 90.00°
Space group I4/mmm (No. 139)
Inequivalent atoms, fractional coordinates:
In1 0.000 0.000 0.000 (multiplicity 2)
In2 0.000 0.000 0.294 (multiplicity 4)
Ga1 0.000 0.000 0.132 (multiplicity 4)
Ga2 0.000 0.000 0.425 (multiplicity 4)

Principal peaks in the range 10° ≤ 2θ ≤ 90°, by angle:
- 2θ = 28.7°, d = 3.109 Å, intensity 10, hkl 1 0 3
- 2θ = 34.8°, d = 2.575 Å, intensity 100, hkl 1 0 7
- 2θ = 38.8°, d = 2.321 Å, intensity 41, hkl 1 1 0
- 2θ = 43.6°, d = 2.076 Å, intensity 10, hkl 0 0 14
- 2θ = 50.3°, d = 1.814 Å, intensity 7, hkl 1 1 10
- 2θ = 56.0°, d = 1.641 Å, intensity 14, hkl 2 0 0
- 2θ = 59.8°, d = 1.547 Å, intensity 15, hkl 1 1 14
- 2θ = 61.1°, d = 1.517 Å, intensity 7, hkl 1 0 17
- 2θ = 67.7°, d = 1.384 Å, intensity 27, hkl 2 1 7
- 2θ = 73.6°, d = 1.288 Å, intensity 8, hkl 2 0 14

=====

[14]
Theoretical XRD peak list of In3Ga8 for Cu Kα (weighted mean of Kα1 and Kα2), from a DFT-relaxed cell (GGA-PBE, Alexandria).
Lines closer than 0.1° are merged.

Structural model:
Cell: 4.107 4.590 25.971 Å, 90.00 90.00 90.00°
Space group Immm (No. 71)
Inequivalent atoms, fractional coordinates:
In1 0.000 0.000 0.000 (multiplicity 2)
In2 0.000 0.500 0.141 (multiplicity 4)
Ga1 0.000 0.000 0.255 (multiplicity 4)
Ga2 0.000 0.000 0.452 (multiplicity 4)
Ga3 0.000 0.500 0.311 (multiplicity 4)
Ga4 0.000 0.500 0.408 (multiplicity 4)

Principal peaks in the range 10° ≤ 2θ ≤ 90°, by angle:
- 2θ = 32.3°, d = 2.769 Å, intensity 100, hkl 1 1 4
- 2θ = 32.5°, d = 2.753 Å, intensity 50, hkl 1 0 7
- 2θ = 39.3°, d = 2.295 Å, intensity 34, hkl 0 2 0
- 2θ = 43.1°, d = 2.100 Å, intensity 38, hkl 0 1 11
- 2θ = 44.1°, d = 2.054 Å, intensity 24, hkl 2 0 0
- 2θ = 51.9°, d = 1.763 Å, intensity 27, hkl 1 2 7
- 2θ = 60.5°, d = 1.530 Å, intensity 18, hkl 2 2 0
- 2θ = 63.4°, d = 1.468 Å, intensity 24, hkl 2 1 11
- 2θ = 66.8°, d = 1.400 Å, intensity 12, hkl 1 3 4
- 2θ = 73.8°, d = 1.284 Å, intensity 12, hkl 0 3 11